ZnAg17: calculated PXRD pattern (Cu Kα, 1.54184 Å), based on a cell relaxed with GGA-PBE.
Intensities are scaled so that the largest is 100.

Structural model:
abc: 5.8366 5.8366 34.5427
angles: 90.00 90.00 120.00
Space group P-3m1 (No. 164)
Unique sites:
Zn  0.3333  0.6667  0.2782 (multiplicity 2)
Ag  0.0000  0.0000  0.0000 (multiplicity 1)
Ag  0.0000  0.0000  0.2089 (multiplicity 2)
Ag  0.0000  0.5000  0.0000 (multiplicity 3)
Ag  0.0009  0.5004  0.2093 (multiplicity 6)
Ag  0.1667  0.3334  0.1395 (multiplicity 6)
Ag  0.1666  0.3332  0.7209 (multiplicity 6)
Ag  0.1666  0.3332  0.9303 (multiplicity 6)
Ag  0.3333  0.6667  0.0696 (multiplicity 2)
Ag  0.3333  0.6667  0.8606 (multiplicity 2)

Most intense lines, 10° ≤ 2θ ≤ 90°, most intense first:
index	d/Å	I/Imax
2 0 5	2.373	100
0 2 10	2.040	52
2 0 4	2.426	51
0 2 9	2.111	50
0 0 14	2.467	35
2 2 0	1.459	31
2 2 14	1.256	22
2 0 19	1.476	22